The following is a simulated powder diffraction line list of Rb3MoI6. It was derived from a structure optimized by DFT (PBE), using Cu Kα (weighted mean of Kα1 and Kα2).

Peak list (12 most intense, 5 to 70 degrees two-theta, in order of rising 2θ)
(1 1 1), d = 7.231 Å, I = 15; (2 0 0), d = 6.262 Å, I = 36; (2 2 2), d = 3.615 Å, I = 85; (4 0 0), d = 3.131 Å, I = 100; (4 2 0), d = 2.800 Å, I = 13; (3 3 3), d = 2.410 Å, I = 19; (4 4 0), d = 2.214 Å, I = 68; (6 2 2), d = 1.888 Å, I = 30; (4 4 4), d = 1.808 Å, I = 22; (5 5 1), d = 1.754 Å, I = 12; (7 3 1), d = 1.630 Å, I = 12; (8 4 0), d = 1.400 Å, I = 23

Crystal structure
a = 12.5241 Å, b = 12.5241 Å, c = 12.5241 Å
α = 90.00°, β = 90.00°, γ = 90.00°
Space group Fm-3m (No. 225)
Unique sites:
Rb 0.0000 0.0000 0.0000 x4
Rb 0.2500 0.2500 0.2500 x8
Mo 0.0000 0.0000 0.5000 x4
I 0.0000 0.0000 0.2756 x24